Diffraction record for Al5P4. The PXRD pattern is theoretical, not measured: it uses a crystal structure in Alexandria, relaxed with GGA-PBE and CuKα.
Intensities are scaled so that the largest is 100.

Main lines, most intense first (5 to 70 degrees two-theta):
| 2θ (°) | d_spacing | intensity | (hkl) |
| --- | --- | --- | --- |
| 37.84 | 2.377 | 100 | 3 0 1 |
| 12.70 | 6.971 | 56 | 1 1 0 |
| 46.22 | 1.964 | 36 | 4 1 1 |
| 38.75 | 2.324 | 25 | 3 3 0 |
| 42.20 | 2.141 | 21 | 3 2 1 |
| 25.56 | 3.485 | 20 | 2 2 0 |
| 52.51 | 1.743 | 15 | 4 4 0 |
| 53.19 | 1.722 | 14 | 0 0 2 |

Cell and atoms:
```
data_Al5P4
_space_group_name_H-M_alt 'I 4/m m m'
_space_group_IT_number 139
_space_group_name_Hall '-I 4 2'
_cell_length_a 9.858
_cell_length_b 9.858
_cell_length_c 3.444
_cell_angle_alpha 90.00
_cell_angle_beta 90.00
_cell_angle_gamma 90.00
loop_
_atom_site_label
_atom_site_type_symbol
_atom_site_fract_x
_atom_site_fract_y
_atom_site_fract_z
Al1 Al 0.000 0.000 0.000
Al2 Al 0.164 0.164 0.500
P1 P 0.000 0.256 0.000
```